1.
Diffraction record for KRbO. The XRD peak list is calculated, not measured: it uses a DFT-relaxed cell (GGA-PBE, the Materials Project) and CuKα.

Structure:
```
data_KRbO
_chemical_formula_sum 'K2 Rb2 O2'
_space_group_name_H-M_alt 'P 4/n m m'
_space_group_IT_number 129
_cell_length_a 4.791
_cell_length_b 4.791
_cell_length_c 6.733
_cell_angle_alpha 90.00
_cell_angle_beta 90.00
_cell_angle_gamma 90.00
loop_
_space_group_symop_operation_xyz
'x,y,z'
'-x,-y,-z'
'-y+1/2,x,z'
'y+1/2,-x,-z'
'-x+1/2,-y+1/2,z'
'x+1/2,y+1/2,-z'
'y,-x+1/2,z'
'-y,x+1/2,-z'
'x+1/2,-y,-z'
'-x+1/2,y,z'
'-y,-x,-z'
'y,x,z'
'-x,y+1/2,-z'
'x,-y+1/2,z'
'y+1/2,x+1/2,-z'
'-y+1/2,-x+1/2,z'
loop_
_atom_site_label
_atom_site_fract_x
_atom_site_fract_y
_atom_site_fract_z
_atom_site_occupancy
K1 0.250 0.250 0.096 1
Rb1 0.250 0.750 0.500 1
O1 0.250 0.250 0.732 1
```

Largest 10 diffraction maxima, low angle first, 5 to 70 degrees two-theta:
two_theta	I/Imax
13.15	34
26.48	17
29.52	100
32.51	10
37.55	38
37.67	28
46.53	14
48.67	12
54.15	12
62.88	21

2.
Diffraction record for KRbS2O8. The XRD peak list is calculated, not measured: it uses a DFT-relaxed cell (GGA-PBE, the Materials Project) and CuKα.

Structure:
```
data_KRbS2O8
_chemical_formula_sum 'K4 Rb4 S8 O32'
_space_group_name_H-M_alt 'P 1 21/c 1'
_space_group_IT_number 14
_cell_length_a 7.295
_cell_length_b 14.611
_cell_length_c 8.425
_cell_angle_alpha 90.00
_cell_angle_beta 103.27
_cell_angle_gamma 90.00
loop_
_space_group_symop_operation_xyz
'x,y,z'
'-x,-y,-z'
'-x,y+1/2,-z+1/2'
'x,-y+1/2,z+1/2'
loop_
_atom_site_label
_atom_site_fract_x
_atom_site_fract_y
_atom_site_fract_z
_atom_site_occupancy
K1 0.090 0.044 0.276 1
Rb1 0.466 0.212 0.652 1
S1 0.003 0.193 0.853 1
S2 0.418 0.538 0.233 1
O1 0.063 0.114 0.961 1
O2 0.086 0.660 0.816 1
O3 0.159 0.743 0.604 1
O4 0.160 0.244 0.352 1
O5 0.257 0.008 0.622 1
O6 0.344 0.589 0.359 1
O7 0.440 0.530 0.688 1
O8 0.490 0.106 0.354 1
```

Largest 10 diffraction maxima, low angle first, 5 to 70 degrees two-theta:
two_theta	I/Imax
21.68	54
23.24	67
24.37	26
25.08	57
25.68	28
26.72	100
28.19	48
29.25	29
33.19	28
35.15	26

3.
Diffraction record for KReO3. The XRD peak list is calculated, not measured: it uses a DFT-relaxed cell (GGA-PBE, the Materials Project) and CuKα.

Structure:
```
data_KReO3
_chemical_formula_sum 'K1 Re1 O3'
_space_group_name_H-M_alt 'P m -3 m'
_space_group_IT_number 221
_space_group_name_Hall '-P 4 2 3'
_cell_length_a 3.939
_cell_length_b 3.939
_cell_length_c 3.939
_cell_angle_alpha 90.00
_cell_angle_beta 90.00
_cell_angle_gamma 90.00
loop_
_atom_site_label
_atom_site_fract_x
_atom_site_fract_y
_atom_site_fract_z
_atom_site_occupancy
K1 0.000 0.000 0.000 1
Re1 0.500 0.500 0.500 1
O1 0.000 0.500 0.500 1
```

Largest 7 diffraction maxima, low angle first, 5 to 70 degrees two-theta:
two_theta	I/Imax
22.57	71
32.14	100
39.63	8
46.09	31
51.90	32
57.29	39
67.22	19

4.
Diffraction record for KReO4. The XRD peak list is calculated, not measured: it uses a DFT-relaxed cell (GGA-PBE, the Materials Project) and CuKα.

Structure:
```
data_KReO4
_chemical_formula_sum 'K4 Re4 O16'
_space_group_name_H-M_alt 'I 41/a'
_space_group_IT_number 88
_cell_length_a 5.829
_cell_length_b 5.829
_cell_length_c 12.979
_cell_angle_alpha 90.00
_cell_angle_beta 90.00
_cell_angle_gamma 90.00
loop_
_space_group_symop_operation_xyz
'x,y,z'
'-x,-y,-z'
'-y+3/4,x+1/4,z+1/4'
'y+3/4,-x+1/4,-z+1/4'
'-x+1/2,-y,z+1/2'
'x+1/2,y,-z+1/2'
'y+3/4,-x+3/4,z+3/4'
'-y+3/4,x+3/4,-z+3/4'
'x+1/2,y+1/2,z+1/2'
'-x+1/2,-y+1/2,-z+1/2'
'-y+1/4,x+3/4,z+3/4'
'y+1/4,-x+3/4,-z+3/4'
'-x,-y+1/2,z'
'x,y+1/2,-z'
'y+1/4,-x+1/4,z+1/4'
'-y+1/4,x+1/4,-z+1/4'
loop_
_atom_site_label
_atom_site_fract_x
_atom_site_fract_y
_atom_site_fract_z
_atom_site_occupancy
K1 0.000 0.250 0.125 1
Re1 0.000 0.250 0.625 1
O1 0.117 0.469 0.702 1
```

Largest 10 diffraction maxima, low angle first, 5 to 70 degrees two-theta:
two_theta	I/Imax
16.67	53
25.61	100
27.49	12
30.67	18
35.12	14
41.65	22
47.47	13
51.54	23
52.61	11
66.66	11